Diffraction record for Al3SiPd4. The powder diffraction line list is computed, not measured: it uses the PBE geometry in the Materials Project and Cu Kα, 1.54184 Å.

Structural model:
abc: 6.9495 6.9495 8.3793
angles: 90.00 90.00 120.00
Space group R3 (No. 146, hexagonal axes)
One atom of each set of equivalent atoms:
Al (0.1074, 0.7076, 0.0000) [9 per cell]
Si (0.0000, 0.0000, 0.7938) [3 per cell]
Pd (0.0000, 0.0000, 0.0935) [3 per cell]
Pd (0.0344, 0.2648, 0.5711) [9 per cell]

Top 10 peaks for 2θ = 10–90°, low angle first:
| 2θ (°) | I_rel | hkl |
| --- | --- | --- |
| 25.64 | 38 | 1 1 0 |
| 25.91 | 41 | 0 1 2 |
| 31.59 | 37 | 0 2 1 |
| 36.77 | 17 | 2 0 2 |
| 41.12 | 100 | 2 1 1 |
| 41.48 | 91 | 2 -1 3 |
| 45.20 | 19 | 3 0 0 |
| 45.37 | 44 | 3 -2 2 |
| 45.87 | 22 | 1 0 4 |
| 71.89 | 16 | 1 4 0 |

***

Diffraction record for Tb2Al9Pd3. The powder diffraction line list is computed, not measured: it uses the PBE geometry in the Materials Project and Cu Kα, 1.54184 Å.

Structural model:
abc: 13.266 7.704 9.512
angles: 90.00 90.00 90.00
Space group Cmcm (No. 63)
One atom of each set of equivalent atoms:
Tb (0.162, 0.168, 0.250) [8 per cell]
Al (0.000, 0.128, 0.750) [4 per cell]
Al (0.000, 0.334, 0.059) [8 per cell]
Al (0.104, 0.441, 0.750) [8 per cell]
Al (0.167, 0.167, 0.576) [16 per cell]
Pd (0.000, 0.000, 0.000) [4 per cell]
Pd (0.171, 0.500, 0.000) [8 per cell]

Top 10 peaks for 2θ = 10–90°, low angle first:
| 2θ (°) | I_rel | hkl |
| --- | --- | --- |
| 16.24 | 19 | 1 1 1 |
| 25.00 | 50 | 3 1 1 |
| 29.90 | 100 | 0 2 2 |
| 36.76 | 65 | 3 1 3 |
| 37.83 | 27 | 0 0 4 |
| 40.63 | 64 | 3 3 0 |
| 40.81 | 29 | 6 0 0 |
| 51.38 | 20 | 6 2 2 |
| 56.72 | 25 | 3 3 4 |
| 63.48 | 19 | 0 2 6 |

***

Diffraction record for Tb4Al24Pd9. The powder diffraction line list is computed, not measured: it uses the PBE geometry in the Materials Project and Cu Kα, 1.54184 Å.

Structural model:
abc: 7.492 7.537 13.267
angles: 84.85 79.41 60.43
Space group P-1 (No. 2)
One atom of each set of equivalent atoms:
Tb (0.063, 0.330, 0.309) [2 per cell]
Tb (0.269, 0.998, 0.691) [2 per cell]
Al (0.020, 0.666, 0.445) [2 per cell]
Al (0.119, 0.665, 0.170) [2 per cell]
Al (0.145, 0.333, 0.058) [2 per cell]
Al (0.187, 0.000, 0.941) [2 per cell]
Al (0.193, 0.869, 0.315) [2 per cell]
Al (0.232, 0.660, 0.831) [2 per cell]
Al (0.318, 0.667, 0.546) [2 per cell]
Al (0.353, 0.999, 0.446) [2 per cell]
Al (0.396, 0.459, 0.316) [2 per cell]
Al (0.397, 0.336, 0.683) [2 per cell]
Al (0.443, 0.994, 0.170) [2 per cell]
Al (0.479, 0.667, 0.060) [2 per cell]
Pd (0.000, 0.000, 0.500) [1 per cell]
Pd (0.113, 0.006, 0.138) [2 per cell]
Pd (0.206, 0.333, 0.862) [2 per cell]
Pd (0.328, 0.329, 0.499) [2 per cell]
Pd (0.452, 0.327, 0.137) [2 per cell]

Top 10 peaks for 2θ = 10–90°, low angle first:
| 2θ (°) | I_rel | hkl |
| --- | --- | --- |
| 23.67 | 49 | 1 -1 0 |
| 28.50 | 86 | 1 2 -2 |
| 28.75 | 43 | 2 1 3 |
| 29.95 | 100 | 1 2 3 |
| 34.38 | 39 | 0 0 5 |
| 34.69 | 71 | 2 1 -3 |
| 38.21 | 31 | 1 2 -4 |
| 41.31 | 62 | 0 3 0 |
| 41.57 | 80 | 3 0 1 |
| 41.73 | 61 | 3 3 1 |